[1]
Starting from a PBE-relaxed structure, the powder diffraction line list of CsK2Rb2CuSb2 was computed for Cu Kα, 1.54184 Å.
Lines closer than 0.1° are merged.

Cell and atoms:
```
data_CsK2Rb2CuSb2
_symmetry_space_group_name_H-M 'R -3 m'
_symmetry_Int_Tables_number 166
_symmetry_space_group_name_Hall '-R 3 2"'
_cell_length_a 6.1616
_cell_length_b 6.1616
_cell_length_c 29.3497
_cell_angle_alpha 90.00
_cell_angle_beta 90.00
_cell_angle_gamma 120.00
loop_
_atom_site_label
_atom_site_type_symbol
_atom_site_fract_x
_atom_site_fract_y
_atom_site_fract_z
Cs1 Cs 0.0000 0.0000 0.0000
K1 K 0.0000 0.0000 0.1355
Rb1 Rb 0.0000 0.0000 0.2797
Cu1 Cu 0.0000 0.0000 0.5000
Sb1 Sb 0.0000 0.0000 0.4147
```

Largest 10 diffraction maxima, most intense first, 2θ from 5° to 70°:
h k l  two_theta  intensity
1 1 0  29.0  100
1 0 7  27.0  63
2 1 7  50.2  22
0 2 7  40.1  21
3 0 0  51.4  19
1 0 10  34.9  15
0 1 2  17.7  14
0 1 14  46.5  13
2 2 0  60.1  12
1 0 1  16.9  12

=====

[2]
Starting from a PBE-relaxed structure, the powder diffraction line list of KCu2PSeS3 was computed for Cu Kα, 1.54184 Å.
Lines closer than 0.1° are merged.

Cell and atoms:
```
data_KCu2PSeS3
_symmetry_space_group_name_H-M 'C 1 m 1'
_symmetry_Int_Tables_number 8
_cell_length_a 8.583
_cell_length_b 8.796
_cell_length_c 6.090
_cell_angle_alpha 90.00
_cell_angle_beta 133.26
_cell_angle_gamma 90.00
loop_
_symmetry_equiv_pos_as_xyz
'x,y,z'
'x,-y,z'
'x+1/2,y+1/2,z'
'x+1/2,-y+1/2,z'
loop_
_atom_site_label
_atom_site_type_symbol
_atom_site_fract_x
_atom_site_fract_y
_atom_site_fract_z
K1 K 0.000 0.000 0.000
Cu1 Cu 0.001 0.260 0.491
P1 P 0.481 0.000 0.967
Se1 Se 0.337 0.500 0.372
S1 S 0.342 0.191 0.975
S2 S 0.446 0.000 0.593
```

Largest 10 diffraction maxima, most intense first, 2θ from 5° to 70°:
h k l  two_theta  intensity
2 2 -1  29.1  100
4 2 -1  51.2  66
2 0 -2  29.3  65
2 0 0  28.6  59
0 4 0  41.0  32
2 0 -1  20.7  27
0 0 2  40.7  27
4 2 -3  52.2  27
2 2 1  50.3  26
1 1 1  33.4  19

=====

[3]
Starting from a PBE-relaxed structure, the powder diffraction line list of Na4ZnIn3 was computed for Cu Kα, 1.54184 Å.
Lines closer than 0.1° are merged.

Cell and atoms:
```
data_Na4ZnIn3
_symmetry_space_group_name_H-M 'P -4 m 2'
_symmetry_Int_Tables_number 115
_cell_length_a 5.143
_cell_length_b 5.143
_cell_length_c 7.344
_cell_angle_alpha 90.00
_cell_angle_beta 90.00
_cell_angle_gamma 90.00
loop_
_symmetry_equiv_pos_as_xyz
'x,y,z'
'y,-x,-z'
'-x,-y,z'
'-y,x,-z'
'-x,y,z'
'-y,-x,-z'
'x,-y,z'
'y,x,-z'
loop_
_atom_site_label
_atom_site_type_symbol
_atom_site_fract_x
_atom_site_fract_y
_atom_site_fract_z
Na1 Na 0.000 0.000 0.000
Na2 Na 0.000 0.500 0.740
Na3 Na 0.500 0.500 0.500
Zn1 Zn 0.000 0.000 0.500
In1 In 0.000 0.500 0.260
In2 In 0.500 0.500 0.000
```

Largest 10 diffraction maxima, most intense first, 2θ from 5° to 70°:
h k l  two_theta  intensity
1 1 2  34.7  100
1 0 1  21.1  70
2 0 0  34.9  50
3 1 2  62.5  34
2 1 1  41.1  25
2 2 0  50.2  17
2 0 4  62.1  17
1 0 3  40.8  12
2 1 3  54.8  10
0 0 4  49.7  9

=====

[4]
Starting from a PBE-relaxed structure, the powder diffraction line list of TbYZn2Pb2 was computed for Cu Kα, 1.54184 Å.
Lines closer than 0.1° are merged.

Cell and atoms:
```
data_TbYZn2Pb2
_symmetry_space_group_name_H-M 'P 63/m m c'
_symmetry_Int_Tables_number 194
_symmetry_space_group_name_Hall '-P 6c 2c'
_cell_length_a 4.5951
_cell_length_b 4.5951
_cell_length_c 16.0671
_cell_angle_alpha 90.00
_cell_angle_beta 90.00
_cell_angle_gamma 120.00
loop_
_atom_site_label
_atom_site_type_symbol
_atom_site_fract_x
_atom_site_fract_y
_atom_site_fract_z
Tb1 Tb 0.0000 0.0000 0.2500
Y1 Y 0.0000 0.0000 0.0000
Zn1 Zn 0.3333 0.6667 0.1651
Pb1 Pb 0.3333 0.6667 0.6102
```

Largest 10 diffraction maxima, most intense first, 2θ from 5° to 70°:
h k l  two_theta  intensity
1 0 4  31.6  100
1 1 0  39.2  79
1 0 3  27.9  56
1 0 7  45.6  34
2 0 4  51.2  26
2 1 4  66.4  24
1 1 8  61.3  16
2 0 7  61.7  14
1 0 1  23.0  13
2 0 3  48.8  13

=====

[5]
Starting from a PBE-relaxed structure, the powder diffraction line list of Nd4PdO7 was computed for Cu Kα, 1.54184 Å.
Lines closer than 0.1° are merged.

Cell and atoms:
```
data_Nd4PdO7
_symmetry_space_group_name_H-M 'P -1'
_symmetry_Int_Tables_number 2
_cell_length_a 6.923
_cell_length_b 7.203
_cell_length_c 7.954
_cell_angle_alpha 70.06
_cell_angle_beta 72.01
_cell_angle_gamma 83.59
loop_
_symmetry_equiv_pos_as_xyz
'x,y,z'
'-x,-y,-z'
loop_
_atom_site_label
_atom_site_type_symbol
_atom_site_fract_x
_atom_site_fract_y
_atom_site_fract_z
Nd1 Nd 0.146 0.357 0.357
Nd2 Nd 0.168 0.336 0.877
Nd3 Nd 0.277 0.893 0.712
Nd4 Nd 0.290 0.897 0.228
Pd1 Pd 0.500 0.500 0.000
Pd2 Pd 0.500 0.500 0.500
O1 O 0.033 0.252 0.678
O2 O 0.070 0.172 0.198
O3 O 0.205 0.588 0.009
O4 O 0.232 0.641 0.579
O5 O 0.345 0.043 0.902
O6 O 0.356 0.085 0.397
O7 O 0.448 0.567 0.243
```

Largest 10 diffraction maxima, most intense first, 2θ from 5° to 70°:
h k l  two_theta  intensity
2 0 2  31.1  100
1 2 2  29.6  87
1 -2 0  29.8  84
0 1 -2  31.9  59
2 1 0  30.1  54
1 1 4  45.7  32
3 -1 0  43.4  31
1 3 0  42.2  25
0 3 4  54.1  24
3 -2 2  54.7  23

=====

[6]
Starting from a PBE-relaxed structure, the powder diffraction line list of Ba3CdHg10 was computed for Cu Kα, 1.54184 Å.
Lines closer than 0.1° are merged.

Cell and atoms:
```
data_Ba3CdHg10
_symmetry_space_group_name_H-M 'I m m m'
_symmetry_Int_Tables_number 71
_symmetry_space_group_name_Hall '-I 2 2'
_cell_length_a 5.303
_cell_length_b 10.229
_cell_length_c 15.407
_cell_angle_alpha 90.00
_cell_angle_beta 90.00
_cell_angle_gamma 90.00
loop_
_atom_site_label
_atom_site_type_symbol
_atom_site_fract_x
_atom_site_fract_y
_atom_site_fract_z
Ba1 Ba 0.000 0.000 0.000
Ba2 Ba 0.000 0.000 0.295
Cd1 Cd 0.000 0.500 0.000
Hg1 Hg 0.000 0.175 0.500
Hg2 Hg 0.000 0.292 0.140
Hg3 Hg 0.000 0.356 0.342
```

Largest 10 diffraction maxima, most intense first, 2θ from 5° to 70°:
h k l  two_theta  intensity
1 2 3  29.9  100
2 0 0  33.8  95
1 3 4  39.2  75
1 3 2  33.3  63
1 1 4  30.0  58
1 3 0  31.2  52
0 0 6  34.9  48
2 0 6  49.4  37
0 2 4  29.0  36
1 4 1  39.6  35

=====

[7]
Starting from a PBE-relaxed structure, the powder diffraction line list of Er2PdPt was computed for Cu Kα, 1.54184 Å.
Lines closer than 0.1° are merged.

Cell and atoms:
```
data_Er2PdPt
_symmetry_space_group_name_H-M 'P m c 21'
_symmetry_Int_Tables_number 26
_cell_length_a 4.535
_cell_length_b 5.478
_cell_length_c 6.952
_cell_angle_alpha 90.00
_cell_angle_beta 90.00
_cell_angle_gamma 90.00
loop_
_symmetry_equiv_pos_as_xyz
'x,y,z'
'-x,-y,z+1/2'
'-x,y,z'
'x,-y,z+1/2'
loop_
_atom_site_label
_atom_site_type_symbol
_atom_site_fract_x
_atom_site_fract_y
_atom_site_fract_z
Er1 Er 0.000 0.100 0.000
Er2 Er 0.500 0.391 0.633
Pd1 Pd 0.000 0.412 0.358
Pt1 Pt 0.500 0.098 0.273
```

Largest 10 diffraction maxima, most intense first, 2θ from 5° to 70°:
h k l  two_theta  intensity
1 1 2  36.5  100
1 2 1  40.6  77
1 0 2  32.5  74
2 0 0  39.7  51
0 2 1  35.2  51
2 2 1  54.1  30
1 1 1  28.6  27
0 1 4  55.5  23
0 1 3  42.4  21
2 1 3  59.5  19

=====

[8]
Starting from a PBE-relaxed structure, the powder diffraction line list of Gd2CoSi2MoC was computed for Cu Kα, 1.54184 Å.
Lines closer than 0.1° are merged.

Cell and atoms:
```
data_Gd2CoSi2MoC
_symmetry_space_group_name_H-M 'C 1 m 1'
_symmetry_Int_Tables_number 8
_cell_length_a 10.994
_cell_length_b 3.919
_cell_length_c 7.016
_cell_angle_alpha 90.00
_cell_angle_beta 128.34
_cell_angle_gamma 90.00
loop_
_symmetry_equiv_pos_as_xyz
'x,y,z'
'x,-y,z'
'x+1/2,y+1/2,z'
'x+1/2,-y+1/2,z'
loop_
_atom_site_label
_atom_site_type_symbol
_atom_site_fract_x
_atom_site_fract_y
_atom_site_fract_z
Gd1 Gd 0.000 0.000 0.000
Gd2 Gd 0.133 0.000 0.596
Co1 Co 0.270 0.500 0.388
Si1 Si 0.203 0.500 0.986
Si2 Si 0.404 0.000 0.596
Mo1 Mo 0.369 0.000 0.211
C1 C 0.075 0.500 0.304
```

Largest 10 diffraction maxima, most intense first, 2θ from 5° to 70°:
h k l  two_theta  intensity
1 1 -2  35.7  100
3 1 -1  33.6  84
1 1 0  25.0  40
4 0 -2  33.3  39
2 0 1  33.4  37
0 2 0  46.3  30
4 0 -3  40.2  28
4 0 -1  34.0  26
3 1 0  38.9  25
2 0 -2  25.4  25

=====

[9]
Starting from a PBE-relaxed structure, the powder diffraction line list of Rb2Li14Tb3O14 was computed for Cu Kα, 1.54184 Å.
Lines closer than 0.1° are merged.

Cell and atoms:
```
data_Rb2Li14Tb3O14
_symmetry_space_group_name_H-M 'I m m m'
_symmetry_Int_Tables_number 71
_symmetry_space_group_name_Hall '-I 2 2'
_cell_length_a 7.375
_cell_length_b 8.000
_cell_length_c 12.936
_cell_angle_alpha 90.00
_cell_angle_beta 90.00
_cell_angle_gamma 90.00
loop_
_atom_site_label
_atom_site_type_symbol
_atom_site_fract_x
_atom_site_fract_y
_atom_site_fract_z
Rb1 Rb 0.230 0.000 0.000
Li1 Li 0.000 0.146 0.233
Li2 Li 0.000 0.155 0.500
Li3 Li 0.227 0.157 0.368
Tb1 Tb 0.000 0.500 0.000
Tb2 Tb 0.000 0.500 0.270
O1 O 0.000 0.280 0.374
O2 O 0.000 0.310 0.130
O3 O 0.201 0.000 0.253
O4 O 0.201 0.000 0.500
```

Largest 10 diffraction maxima, most intense first, 2θ from 5° to 70°:
h k l  two_theta  intensity
1 1 0  16.3  100
0 2 4  35.7  53
0 2 0  22.2  48
0 0 4  27.6  44
2 1 3  33.9  34
3 1 0  38.3  27
1 1 4  32.2  22
1 3 4  45.8  19
0 0 8  56.9  18
3 1 4  47.9  18

=====

[10]
Starting from a PBE-relaxed structure, the powder diffraction line list of ThMg was computed for Cu Kα, 1.54184 Å.
Lines closer than 0.1° are merged.

Cell and atoms:
```
data_ThMg
_symmetry_space_group_name_H-M 'P n m a'
_symmetry_Int_Tables_number 62
_cell_length_a 6.169
_cell_length_b 5.508
_cell_length_c 6.691
_cell_angle_alpha 90.00
_cell_angle_beta 90.00
_cell_angle_gamma 90.00
loop_
_symmetry_equiv_pos_as_xyz
'x,y,z'
'-x,-y,-z'
'-x+1/2,-y,z+1/2'
'x+1/2,y,-z+1/2'
'x+1/2,-y+1/2,-z+1/2'
'-x+1/2,y+1/2,z+1/2'
'-x,y+1/2,-z'
'x,-y+1/2,z'
loop_
_atom_site_label
_atom_site_type_symbol
_atom_site_fract_x
_atom_site_fract_y
_atom_site_fract_z
Th1 Th 0.127 0.250 0.137
Mg1 Mg 0.084 0.250 0.632
```

Largest 10 diffraction maxima, most intense first, 2θ from 5° to 70°:
h k l  two_theta  intensity
0 1 1  20.9  100
2 1 0  33.3  86
1 1 2  34.6  80
1 0 2  30.4  52
1 1 1  25.4  50
0 2 0  32.5  47
1 0 1  19.6  38
2 0 1  32.0  37
1 2 2  45.1  36
2 2 1  46.2  34

=====

[11]
Starting from a PBE-relaxed structure, the powder diffraction line list of LiTlNiPd was computed for Cu Kα, 1.54184 Å.
Lines closer than 0.1° are merged.

Cell and atoms:
```
data_LiTlNiPd
_symmetry_space_group_name_H-M 'F -4 3 m'
_symmetry_Int_Tables_number 216
_symmetry_space_group_name_Hall 'F -4 2 3'
_cell_length_a 6.220
_cell_length_b 6.220
_cell_length_c 6.220
_cell_angle_alpha 90.00
_cell_angle_beta 90.00
_cell_angle_gamma 90.00
loop_
_atom_site_label
_atom_site_type_symbol
_atom_site_fract_x
_atom_site_fract_y
_atom_site_fract_z
Li1 Li 0.000 0.000 0.000
Tl1 Tl 0.250 0.250 0.250
Ni1 Ni 0.000 0.000 0.500
Pd1 Pd 0.250 0.250 0.750
```

Largest 8 diffraction maxima, most intense first, 2θ from 5° to 70°:
h k l  two_theta  intensity
2 2 0  41.0  100
2 0 0  28.7  51
1 1 1  24.8  20
4 2 0  67.3  19
4 0 0  59.4  17
2 2 2  50.9  14
3 1 1  48.5  11
3 3 1  65.4  4

=====

[12]
Starting from a PBE-relaxed structure, the powder diffraction line list of GaIr2Os4 was computed for Cu Kα, 1.54184 Å.
Lines closer than 0.1° are merged.

Cell and atoms:
```
data_GaIr2Os4
_symmetry_space_group_name_H-M 'P 4/m m m'
_symmetry_Int_Tables_number 123
_symmetry_space_group_name_Hall '-P 4 2'
_cell_length_a 3.742
_cell_length_b 3.742
_cell_length_c 7.784
_cell_angle_alpha 90.00
_cell_angle_beta 90.00
_cell_angle_gamma 90.00
loop_
_atom_site_label
_atom_site_type_symbol
_atom_site_fract_x
_atom_site_fract_y
_atom_site_fract_z
Ga1 Ga 0.000 0.000 0.000
Ir1 Ir 0.000 0.000 0.500
Ir2 Ir 0.500 0.500 0.000
Os1 Os 0.000 0.500 0.263
```

Largest 10 diffraction maxima, most intense first, 2θ from 5° to 70°:
h k l  two_theta  intensity
1 1 2  41.3  100
2 0 0  48.7  32
1 0 1  26.4  21
2 0 4  69.7  20
0 0 4  46.7  17
0 0 2  22.8  7
1 0 3  42.4  6
2 1 1  56.2  5
1 1 0  33.9  5
2 1 3  66.5  3

=====

Repeat the fourth record exactly.
Starting from a PBE-relaxed structure, the powder diffraction line list of TbYZn2Pb2 was computed for Cu Kα, 1.54184 Å.
Lines closer than 0.1° are merged.

Cell and atoms:
```
data_TbYZn2Pb2
_symmetry_space_group_name_H-M 'P 63/m m c'
_symmetry_Int_Tables_number 194
_symmetry_space_group_name_Hall '-P 6c 2c'
_cell_length_a 4.5951
_cell_length_b 4.5951
_cell_length_c 16.0671
_cell_angle_alpha 90.00
_cell_angle_beta 90.00
_cell_angle_gamma 120.00
loop_
_atom_site_label
_atom_site_type_symbol
_atom_site_fract_x
_atom_site_fract_y
_atom_site_fract_z
Tb1 Tb 0.0000 0.0000 0.2500
Y1 Y 0.0000 0.0000 0.0000
Zn1 Zn 0.3333 0.6667 0.1651
Pb1 Pb 0.3333 0.6667 0.6102
```

Largest 10 diffraction maxima, most intense first, 2θ from 5° to 70°:
h k l  two_theta  intensity
1 0 4  31.6  100
1 1 0  39.2  79
1 0 3  27.9  56
1 0 7  45.6  34
2 0 4  51.2  26
2 1 4  66.4  24
1 1 8  61.3  16
2 0 7  61.7  14
1 0 1  23.0  13
2 0 3  48.8  13